Record 1
This entry pairs a crystal structure of PrHg with its calculated powder X-ray diffraction pattern. Radiation: Cu Kα, 1.54184 Å. Structure: a GGA-PBE-relaxed structure.
No peak broadening, texture or thermal motion is included.

Structural model:
```
PrHg
1.0
3.8670 0.0000 0.0000
0.0000 3.8670 0.0000
0.0000 0.0000 3.8670
Pr Hg
1 1
Direct
0.0000 0.0000 0.0000
0.5000 0.5000 0.5000
```

Peak list (9 most intense, 2θ from 10° to 80°, low angle first)
23.00°, I 3; 32.75°, I 100; 40.40°, I 1; 47.00°, I 18; 52.95°, I 2; 58.46°, I 39; 68.65°, I 12; 73.46°, I 1; 78.16°, I 17

Record 2
This entry pairs a crystal structure of Te2PdBr with its calculated powder X-ray diffraction pattern. Radiation: Cu Kα, 1.54184 Å. Structure: a GGA-PBE-relaxed structure.
No peak broadening, texture or thermal motion is included.

Structural model:
```
Te2PdBr
1.0
5.6218 0.0000 0.0000
0.0000 4.1134 0.0000
-0.0116 0.0000 9.6841
Te Pd Br
4 2 2
Direct
0.2489 0.2500 0.2012
0.2503 0.2500 0.5596
0.7497 0.7500 0.4404
0.7511 0.7500 0.7988
0.2495 0.7500 0.3799
0.7505 0.2500 0.6201
0.2513 0.7500 0.8592
0.7487 0.2500 0.1408
```

Peak list (10 most intense, 2θ from 10° to 80°, low angle first)
18.25°, I 17; 28.47°, I 100; 31.84°, I 58; 35.35°, I 24; 43.23°, I 61; 44.03°, I 23; 46.42°, I 23; 48.30°, I 20; 55.37°, I 28; 59.59°, I 15

Record 3
This entry pairs a crystal structure of Tm7Tl2Ru2 with its calculated powder X-ray diffraction pattern. Radiation: Cu Kα, 1.54184 Å. Structure: a GGA-PBE-relaxed structure.
No peak broadening, texture or thermal motion is included.

Structural model:
```
Tm7Tl2Ru2
1.0
4.0004 -5.3795 0.0000
4.0004 5.3795 0.0000
0.0000 0.0000 7.0726
Tm Tl Ru
7 2 2
Direct
0.0000 0.0000 0.0000
0.0000 0.5000 0.2473
0.0000 0.5000 0.7527
0.5000 0.0000 0.2473
0.5000 0.0000 0.7527
0.5000 0.5000 0.2380
0.5000 0.5000 0.7620
0.1842 0.1842 0.5000
0.8158 0.8158 0.5000
0.2928 0.7072 0.0000
0.7072 0.2928 0.0000
```

Peak list (10 most intense, 2θ from 10° to 80°, low angle first)
20.75°, I 22; 25.58°, I 37; 27.79°, I 36; 28.82°, I 46; 30.25°, I 29; 33.31°, I 60; 37.44°, I 41; 37.85°, I 100; 51.70°, I 19; 62.90°, I 19

Record 4
This entry pairs a crystal structure of Be2TlSi2 with its calculated powder X-ray diffraction pattern. Radiation: Cu Kα, 1.54184 Å. Structure: a GGA-PBE-relaxed structure.
No peak broadening, texture or thermal motion is included.

Structural model:
```
Be2TlSi2
1.0
-2.0130 2.0130 4.9604
2.0130 -2.0130 4.9604
2.0130 2.0130 -4.9604
Be Tl Si
2 1 2
Direct
0.2500 0.7500 0.5000
0.7500 0.2500 0.5000
0.0000 0.0000 0.0000
0.3767 0.3767 0.0000
0.6233 0.6233 0.0000
```

Peak list (10 most intense, 2θ from 10° to 80°, low angle first)
17.88°, I 69; 23.85°, I 100; 31.42°, I 62; 35.12°, I 88; 36.39°, I 64; 45.04°, I 28; 51.34°, I 31; 51.59°, I 27; 58.36°, I 41; 70.65°, I 24

Record 5
This entry pairs a crystal structure of Ac4PaSb6 with its calculated powder X-ray diffraction pattern. Radiation: Cu Kα, 1.54184 Å. Structure: a GGA-PBE-relaxed structure.
No peak broadening, texture or thermal motion is included.

Structural model:
```
Ac4PaSb6
1.0
6.4130 3.7025 5.4992
-6.4130 3.7025 5.4992
0.0000 -7.4051 5.4992
Ac Pa Sb
8 2 12
Direct
0.1300 0.7500 0.3700
0.2500 0.2500 0.2500
0.2500 0.6300 0.8700
0.3700 0.1300 0.7500
0.6300 0.8700 0.2500
0.7500 0.3700 0.1300
0.7500 0.7500 0.7500
0.8700 0.2500 0.6300
0.0000 0.0000 0.0000
0.5000 0.5000 0.5000
0.0696 0.9189 0.6863
0.0811 0.3137 0.9304
0.1863 0.4189 0.5696
0.3137 0.9304 0.0811
0.4189 0.5696 0.1863
0.4304 0.8137 0.5811
0.5696 0.1863 0.4189
0.5811 0.4304 0.8137
0.6863 0.0696 0.9189
0.8137 0.5811 0.4304
0.9189 0.6863 0.0696
0.9304 0.0811 0.3137
```

Peak list (10 most intense, 2θ from 10° to 80°, low angle first)
21.28°, I 27; 24.04°, I 74; 26.93°, I 58; 29.50°, I 70; 30.38°, I 89; 32.32°, I 100; 32.57°, I 25; 37.09°, I 28; 41.66°, I 47; 62.74°, I 38

Record 6
This entry pairs a crystal structure of Ce3PuAl8 with its calculated powder X-ray diffraction pattern. Radiation: Cu Kα, 1.54184 Å. Structure: a GGA-PBE-relaxed structure.
No peak broadening, texture or thermal motion is included.

Structural model:
```
Ce3PuAl8
1.0
5.6792 0.0000 0.0000
-2.8396 4.9183 0.0000
0.0000 0.0000 8.7863
Ce Pu Al
3 1 8
Direct
0.0000 0.0000 0.0000
0.0000 0.0000 0.3354
0.3333 0.6667 0.8231
0.3333 0.6667 0.5021
0.0134 0.5067 0.1668
0.3206 0.1603 0.6640
0.4933 0.5067 0.1668
0.4933 0.9866 0.1668
0.6667 0.3333 0.4170
0.6667 0.3333 0.9149
0.8397 0.1603 0.6640
0.8397 0.6794 0.6640
```

Peak list (10 most intense, 2θ from 10° to 80°, low angle first)
18.04°, I 48; 20.70°, I 65; 31.51°, I 78; 35.68°, I 100; 37.72°, I 40; 38.00°, I 43; 48.33°, I 21; 58.84°, I 45; 65.79°, I 25; 77.14°, I 21

Record 7
This entry pairs a crystal structure of Nb4GaH with its calculated powder X-ray diffraction pattern. Radiation: Cu Kα, 1.54184 Å. Structure: a GGA-PBE-relaxed structure.
No peak broadening, texture or thermal motion is included.

Structural model:
```
Nb4GaH
1.0
3.7378 -3.9428 0.0000
3.7378 3.9428 0.0000
0.0000 0.0000 3.4540
Nb Ga H
4 1 1
Direct
0.1817 0.8183 0.0000
0.2467 0.2467 0.5000
0.7533 0.7533 0.5000
0.8183 0.1817 0.0000
0.5000 0.5000 0.0000
0.0000 0.0000 0.5000
```

Peak list (10 most intense, 2θ from 10° to 80°, low angle first)
22.55°, I 16; 33.02°, I 34; 34.52°, I 31; 35.38°, I 100; 36.23°, I 29; 45.00°, I 33; 48.72°, I 20; 50.47°, I 12; 53.02°, I 15; 57.53°, I 14

Record 8
This entry pairs a crystal structure of NdYIn4 with its calculated powder X-ray diffraction pattern. Radiation: Cu Kα, 1.54184 Å. Structure: a GGA-PBE-relaxed structure.
No peak broadening, texture or thermal motion is included.

Structural model:
```
NdYIn4
1.0
-2.3636 3.7134 4.5691
2.3636 -3.7134 4.5691
2.3636 3.7134 -4.5691
Nd Y In
1 1 4
Direct
0.0000 0.0000 0.0000
0.6145 0.1145 0.5000
0.0025 0.7122 0.2903
0.1905 0.3947 0.7958
0.4219 0.7122 0.7097
0.5989 0.3947 0.2042
```

Peak list (10 most intense, 2θ from 10° to 80°, low angle first)
29.74°, I 47; 31.03°, I 34; 32.18°, I 100; 35.04°, I 69; 37.64°, I 23; 38.07°, I 41; 42.90°, I 19; 49.90°, I 18; 58.32°, I 22; 69.44°, I 17

Copy entry 2 word for word.
This entry pairs a crystal structure of Te2PdBr with its calculated powder X-ray diffraction pattern. Radiation: Cu Kα, 1.54184 Å. Structure: a GGA-PBE-relaxed structure.
No peak broadening, texture or thermal motion is included.

Structural model:
```
Te2PdBr
1.0
5.6218 0.0000 0.0000
0.0000 4.1134 0.0000
-0.0116 0.0000 9.6841
Te Pd Br
4 2 2
Direct
0.2489 0.2500 0.2012
0.2503 0.2500 0.5596
0.7497 0.7500 0.4404
0.7511 0.7500 0.7988
0.2495 0.7500 0.3799
0.7505 0.2500 0.6201
0.2513 0.7500 0.8592
0.7487 0.2500 0.1408
```

Peak list (10 most intense, 2θ from 10° to 80°, low angle first)
18.25°, I 17; 28.47°, I 100; 31.84°, I 58; 35.35°, I 24; 43.23°, I 61; 44.03°, I 23; 46.42°, I 23; 48.30°, I 20; 55.37°, I 28; 59.59°, I 15